Simulated PXRD pattern
Compound: CaLa2Tl4
Radiation: Cu Ka
Structure: a GGA-PBE-relaxed structure
Lines closer than 0.1° are merged.

The 12 most intense peaks (2θ from 5° to 70°), sorted by position:
19.89 deg, intensity 127, (0 1 2); 22.97 deg, intensity 441, (1 0 4); 32.62 deg, intensity 985, (0 1 8); 32.79 deg, intensity 1000, (1 1 0); 38.59 deg, intensity 106, (1 1 6); 40.42 deg, intensity 107, (0 2 4); 46.93 deg, intensity 361, (2 0 8); 58.10 deg, intensity 176, (1 0 16); 58.43 deg, intensity 377, (1 2 8); 58.54 deg, intensity 193, (3 0 0); 68.34 deg, intensity 108, (0 2 16); 68.75 deg, intensity 120, (2 2 0)

Cell and atoms:
```
data_CaLa2Tl4
_space_group_name_H-M_alt 'R -3 m'
_space_group_IT_number 166
_space_group_name_Hall '-R 3 2"'
_cell_length_a 5.4620
_cell_length_b 5.4620
_cell_length_c 26.9657
_cell_angle_alpha 90.00
_cell_angle_beta 90.00
_cell_angle_gamma 120.00
loop_
_atom_site_label
_atom_site_fract_x
_atom_site_fract_y
_atom_site_fract_z
Ca1 0.0000 0.0000 0.0000
La1 0.0000 0.0000 0.2470
Tl1 0.0000 0.0000 0.1264
Tl2 0.0000 0.0000 0.3798
```



Simulated PXRD pattern
Compound: Er3RhAu
Radiation: Cu Ka
Structure: a GGA-PBE-relaxed structure
Lines closer than 0.1° are merged.

The 12 most intense peaks (2θ from 5° to 70°), sorted by position:
27.73 deg, intensity 310, (0 2 1); 29.70 deg, intensity 516, (1 0 2); 32.44 deg, intensity 205, (1 1 2); 33.71 deg, intensity 103, (0 1 3); 35.16 deg, intensity 1000, (1 2 1); 40.16 deg, intensity 209, (1 1 3); 40.74 deg, intensity 172, (0 2 3); 43.15 deg, intensity 267, (2 0 0); 52.07 deg, intensity 112, (2 2 1); 52.82 deg, intensity 147, (0 4 0); 60.84 deg, intensity 107, (2 2 3); 61.77 deg, intensity 132, (1 4 2)

Cell and atoms:
```
data_Er3RhAu
_space_group_name_H-M_alt 'P m m n'
_space_group_IT_number 59
_cell_length_a 4.193
_cell_length_b 6.933
_cell_length_c 8.637
_cell_angle_alpha 90.00
_cell_angle_beta 90.00
_cell_angle_gamma 90.00
loop_
_space_group_symop_operation_xyz
'x,y,z'
'-x,-y,-z'
'-x+1/2,-y+1/2,z'
'x+1/2,y+1/2,-z'
'x+1/2,-y,-z'
'-x+1/2,y,z'
'-x,y+1/2,-z'
'x,-y+1/2,z'
loop_
_atom_site_label
_atom_site_fract_x
_atom_site_fract_y
_atom_site_fract_z
Er1 0.250 0.006 0.164
Er2 0.250 0.250 0.562
Rh1 0.250 0.250 0.893
Au1 0.250 0.750 0.668
```



Simulated PXRD pattern
Compound: La2Y2Ho3
Radiation: Cu Ka
Structure: a GGA-PBE-relaxed structure
Lines closer than 0.1° are merged.

The 12 most intense peaks (2θ from 5° to 70°), sorted by position:
16.46 deg, intensity 36, (0 0 2); 30.35 deg, intensity 1000, (2 0 3); 30.63 deg, intensity 325, (4 0 -1); 35.27 deg, intensity 669, (3 1 1); 50.52 deg, intensity 84, (0 2 0); 50.55 deg, intensity 159, (1 1 5); 50.92 deg, intensity 235, (6 0 2); 60.10 deg, intensity 142, (2 2 3); 60.27 deg, intensity 281, (4 2 -1); 60.60 deg, intensity 138, (7 1 0); 63.13 deg, intensity 122, (2 2 -4); 63.78 deg, intensity 40, (8 0 -2)

Cell and atoms:
```
data_La2Y2Ho3
_space_group_name_H-M_alt 'C 1 2/m 1'
_space_group_IT_number 12
_space_group_name_Hall '-C 2y'
_cell_length_a 11.860
_cell_length_b 3.613
_cell_length_c 10.821
_cell_angle_alpha 90.00
_cell_angle_beta 95.49
_cell_angle_gamma 90.00
loop_
_atom_site_label
_atom_site_fract_x
_atom_site_fract_y
_atom_site_fract_z
La1 0.214 0.000 0.355
Y1 0.070 0.000 0.790
Ho1 0.000 0.500 0.500
Ho2 0.142 0.500 0.069
```



Simulated PXRD pattern
Compound: AcLaTlAu
Radiation: Cu Ka
Structure: a GGA-PBE-relaxed structure
Lines closer than 0.1° are merged.

The 12 most intense peaks (2θ from 5° to 70°), sorted by position:
10.79 deg, intensity 25, (0 0 1); 25.39 deg, intensity 50, (1 0 1); 31.75 deg, intensity 1000, (1 0 2); 32.63 deg, intensity 490, (1 1 0); 44.19 deg, intensity 87, (0 0 4); 46.82 deg, intensity 182, (2 0 0); 46.92 deg, intensity 33, (1 1 3); 56.01 deg, intensity 181, (1 1 4); 57.68 deg, intensity 376, (2 1 2); 61.39 deg, intensity 30, (1 0 5); 66.35 deg, intensity 120, (2 0 4); 68.37 deg, intensity 60, (2 2 0)

Cell and atoms:
```
data_AcLaTlAu
_space_group_name_H-M_alt 'P 4 m m'
_space_group_IT_number 99
_space_group_name_Hall 'P 4 -2'
_cell_length_a 3.881
_cell_length_b 3.881
_cell_length_c 8.197
_cell_angle_alpha 90.00
_cell_angle_beta 90.00
_cell_angle_gamma 90.00
loop_
_atom_site_label
_atom_site_fract_x
_atom_site_fract_y
_atom_site_fract_z
Ac1 0.000 0.000 0.000
La1 0.000 0.000 0.545
Tl1 0.500 0.500 0.285
Au1 0.500 0.500 0.759
```



Simulated PXRD pattern
Compound: Rb2NbTe5
Radiation: Cu Ka
Structure: a GGA-PBE-relaxed structure
Lines closer than 0.1° are merged.

The 12 most intense peaks (2θ from 5° to 70°), sorted by position:
10.90 deg, intensity 331, (0 0 1); 13.13 deg, intensity 374, (2 0 -1); 13.61 deg, intensity 528, (2 0 0); 15.68 deg, intensity 461, (1 1 0); 21.89 deg, intensity 604, (0 0 2); 24.41 deg, intensity 498, (1 1 -2); 24.55 deg, intensity 1000, (4 0 -1); 31.67 deg, intensity 813, (2 2 0); 33.89 deg, intensity 428, (4 0 1); 35.03 deg, intensity 634, (2 2 -2); 36.19 deg, intensity 464, (0 2 2); 48.04 deg, intensity 622, (6 2 -1)

Cell and atoms:
```
data_Rb2NbTe5
_space_group_name_H-M_alt 'C 1 m 1'
_space_group_IT_number 8
_space_group_name_Hall 'C -2y'
_cell_length_a 14.520
_cell_length_b 6.273
_cell_length_c 9.058
_cell_angle_alpha 90.00
_cell_angle_beta 116.31
_cell_angle_gamma 90.00
loop_
_atom_site_label
_atom_site_fract_x
_atom_site_fract_y
_atom_site_fract_z
Rb1 0.000 0.000 0.000
Rb2 0.118 0.500 0.656
Nb1 0.243 0.500 0.294
Te1 0.050 0.500 0.227
Te2 0.269 0.238 0.072
Te3 0.349 0.240 0.563
```



Simulated PXRD pattern
Compound: RbSnTe2Au
Radiation: Cu Ka
Structure: a GGA-PBE-relaxed structure
Lines closer than 0.1° are merged.

The 12 most intense peaks (2θ from 5° to 70°), sorted by position:
10.89 deg, intensity 1000, (0 2 0); 23.66 deg, intensity 587, (2 0 0); 24.60 deg, intensity 865, (1 3 1); 27.54 deg, intensity 460, (2 0 1); 29.69 deg, intensity 758, (2 2 1); 30.12 deg, intensity 620, (0 2 2); 33.15 deg, intensity 485, (1 5 1); 35.45 deg, intensity 573, (2 4 1); 35.81 deg, intensity 551, (0 4 2); 43.57 deg, intensity 273, (2 6 1); 44.62 deg, intensity 296, (0 8 0); 61.66 deg, intensity 233, (4 4 2)

Cell and atoms:
```
data_RbSnTe2Au
_space_group_name_H-M_alt 'C m m e'
_space_group_IT_number 67
_space_group_name_Hall '-C 2a 2'
_cell_length_a 7.521
_cell_length_b 16.246
_cell_length_c 6.375
_cell_angle_alpha 90.00
_cell_angle_beta 90.00
_cell_angle_gamma 90.00
loop_
_atom_site_label
_atom_site_fract_x
_atom_site_fract_y
_atom_site_fract_z
Rb1 0.000 0.250 0.236
Sn1 0.250 0.000 0.500
Te1 0.000 0.125 0.741
Au1 0.000 0.000 0.000
```



Simulated PXRD pattern
Compound: SmHoLu
Radiation: Cu Ka
Structure: a GGA-PBE-relaxed structure
Lines closer than 0.1° are merged.

The 8 most intense peaks (2θ from 5° to 70°), sorted by position:
11.77 deg, intensity 7, (0 0 2); 30.96 deg, intensity 1000, (1 0 3); 35.82 deg, intensity 169, (0 0 6); 35.94 deg, intensity 337, (1 1 0); 51.68 deg, intensity 360, (2 0 0); 61.37 deg, intensity 143, (1 0 9); 61.52 deg, intensity 285, (2 1 3); 64.52 deg, intensity 123, (2 0 6)

Cell and atoms:
```
data_SmHoLu
_space_group_name_H-M_alt 'I 4 m m'
_space_group_IT_number 107
_space_group_name_Hall 'I 4 -2'
_cell_length_a 3.534
_cell_length_b 3.534
_cell_length_c 15.039
_cell_angle_alpha 90.00
_cell_angle_beta 90.00
_cell_angle_gamma 90.00
loop_
_atom_site_label
_atom_site_fract_x
_atom_site_fract_y
_atom_site_fract_z
Sm1 0.000 0.000 0.000
Ho1 0.000 0.000 0.331
Lu1 0.000 0.000 0.667
```